Starting from DFT lattice parameters and positions (PBE+U), the PXRD pattern of MgFe4Si2Sn7O16 was simulated for Cu Kα.

Main lines, low angle first (2θ = 10–90°):
2θ (°)  I (rel.)  (hkl)
14.52  21  1 1 0
26.32  64  0 0 3
30.55  100  2 2 -1
30.70  69  4 0 1
34.06  28  4 0 -2
34.42  61  2 2 2
46.37  35  2 2 -4
46.86  18  4 0 4
51.93  60  6 2 0
61.58  12  4 4 1

Structural model:
a b c (Å): 12.207 7.039 10.161
angles (deg): 90.00 90.79 90.00
Space group C2/m (No. 12)
Asymmetric unit:
Mg 0.000 0.000 0.000 (multiplicity 2)
Fe 0.000 0.000 0.500 (multiplicity 2)
Fe 0.000 0.500 0.000 (multiplicity 2)
Fe 0.250 0.250 0.500 (multiplicity 4)
Si 0.174 0.000 0.751 (multiplicity 4)
Sn 0.000 0.500 0.500 (multiplicity 2)
Sn 0.085 0.268 0.198 (multiplicity 8)
Sn 0.176 0.500 0.821 (multiplicity 4)
O 0.054 0.000 0.818 (multiplicity 4)
O 0.082 0.253 0.402 (multiplicity 8)
O 0.149 0.000 0.133 (multiplicity 4)
O 0.161 0.500 0.611 (multiplicity 4)
O 0.167 0.000 0.589 (multiplicity 4)
O 0.240 0.192 0.800 (multiplicity 8)